Record 1
For Tl3ZnF, a DFT-relaxed cell (PBE, Alexandria) gives the theoretical powder X-ray diffraction pattern in this record (CuKα).

Peak list (6 most intense, 10° ≤ 2θ ≤ 90°, in order of rising 2θ)
3.029 Å, 2θ = 29.49°, rel. 100
2.623 Å, 2θ = 34.18°, rel. 58
1.855 Å, 2θ = 49.11°, rel. 42
1.582 Å, 2θ = 58.33°, rel. 45
1.204 Å, 2θ = 79.66°, rel. 19
1.173 Å, 2θ = 82.16°, rel. 19

Structure:
```
data_Tl3ZnF
_cell_length_a 5.247
_cell_length_b 5.247
_cell_length_c 5.247
_cell_angle_alpha 90.00
_cell_angle_beta 90.00
_cell_angle_gamma 90.00
_space_group_name_H-M_alt 'P m -3 m'
_space_group_IT_number 221
_space_group_name_Hall '-P 4 2 3'
loop_
_atom_site_label
_atom_site_type_symbol
_atom_site_fract_x
_atom_site_fract_y
_atom_site_fract_z
Tl1 Tl 0.000 0.000 0.500
Zn1 Zn 0.500 0.500 0.500
F1 F 0.000 0.000 0.000
```



Record 2
For CsSiP2O8, a DFT-relaxed cell (PBE, Alexandria) gives the theoretical powder X-ray diffraction pattern in this record (CuKα).

Peak list (6 most intense, 10° ≤ 2θ ≤ 90°, in order of rising 2θ)
4.181 Å, 2θ = 21.25°, rel. 46
3.796 Å, 2θ = 23.43°, rel. 82
3.072 Å, 2θ = 29.07°, rel. 100
2.414 Å, 2θ = 37.25°, rel. 32
1.991 Å, 2θ = 45.56°, rel. 22
1.898 Å, 2θ = 47.93°, rel. 22

Structure:
```
data_CsSiP2O8
_cell_length_a 4.8282
_cell_length_b 4.8282
_cell_length_c 9.0559
_cell_angle_alpha 90.00
_cell_angle_beta 90.00
_cell_angle_gamma 120.00
_space_group_name_H-M_alt 'P -3'
_space_group_IT_number 147
loop_
_space_group_symop_operation_xyz
'x,y,z'
'-x,-y,-z'
'-y,x-y,z'
'y,-x+y,-z'
'-x+y,-x,z'
'x-y,x,-z'
loop_
_atom_site_label
_atom_site_type_symbol
_atom_site_fract_x
_atom_site_fract_y
_atom_site_fract_z
Cs1 Cs 0.0000 0.0000 0.0000
Si1 Si 0.0000 0.0000 0.5000
P1 P 0.3333 0.6667 0.6719
O1 O 0.0829 0.3301 0.6148
O2 O 0.3333 0.6667 0.8393
```



Record 3
For HgAsC2N, a DFT-relaxed cell (PBE, Alexandria) gives the theoretical powder X-ray diffraction pattern in this record (CuKα).

Peak list (6 most intense, 10° ≤ 2θ ≤ 90°, in order of rising 2θ)
4.260 Å, 2θ = 20.85°, rel. 30
3.056 Å, 2θ = 29.22°, rel. 100
3.012 Å, 2θ = 29.66°, rel. 50
2.130 Å, 2θ = 42.44°, rel. 25
1.773 Å, 2θ = 51.54°, rel. 22
1.748 Å, 2θ = 52.35°, rel. 41

Structure:
```
data_HgAsC2N
_cell_length_a 4.260
_cell_length_b 4.260
_cell_length_c 4.387
_cell_angle_alpha 90.00
_cell_angle_beta 90.00
_cell_angle_gamma 90.00
_space_group_name_H-M_alt 'P 4/m m m'
_space_group_IT_number 123
_space_group_name_Hall '-P 4 2'
loop_
_atom_site_label
_atom_site_type_symbol
_atom_site_fract_x
_atom_site_fract_y
_atom_site_fract_z
Hg1 Hg 0.000 0.000 0.000
As1 As 0.500 0.500 0.500
C1 C 0.000 0.500 0.000
N1 N 0.000 0.000 0.500
```



Record 4
For NpTc2O8, a DFT-relaxed cell (PBE, Alexandria) gives the theoretical powder X-ray diffraction pattern in this record (CuKα).

Peak list (6 most intense, 10° ≤ 2θ ≤ 90°, in order of rising 2θ)
6.697 Å, 2θ = 13.22°, rel. 16
4.125 Å, 2θ = 21.54°, rel. 100
3.023 Å, 2θ = 29.55°, rel. 38
2.821 Å, 2θ = 31.72°, rel. 30
2.062 Å, 2θ = 43.90°, rel. 18
1.898 Å, 2θ = 47.94°, rel. 23

Structure:
```
data_NpTc2O8
_cell_length_a 6.0454
_cell_length_b 6.0454
_cell_length_c 6.6967
_cell_angle_alpha 90.00
_cell_angle_beta 90.00
_cell_angle_gamma 120.00
_space_group_name_H-M_alt 'P -3 m 1'
_space_group_IT_number 164
_space_group_name_Hall '-P 3 2"'
loop_
_atom_site_label
_atom_site_type_symbol
_atom_site_fract_x
_atom_site_fract_y
_atom_site_fract_z
Np1 Np 0.0000 0.0000 0.0000
Tc1 Tc 0.3333 0.6667 0.7153
O1 O 0.1724 0.3447 0.8148
O2 O 0.3333 0.6667 0.4586
```